[1]
Structure and simulated X-ray diffraction stick pattern of Pm3PrTm12 (a structure optimized by DFT (GGA-PBE); Cu Ka).
Neutral-atom scattering factors, no anomalous dispersion.

Atomic structure:
```
data_Pm3PrTm12
_chemical_formula_sum 'Pm3 Pr1 Tm12'
_symmetry_space_group_name_H-M 'P 4/m m m'
_symmetry_Int_Tables_number 123
_symmetry_space_group_name_Hall '-P 4 2'
_cell_length_a 4.9938
_cell_length_b 4.9938
_cell_length_c 19.9960
_cell_angle_alpha 90.00
_cell_angle_beta 90.00
_cell_angle_gamma 90.00
loop_
_atom_site_label
_atom_site_fract_x
_atom_site_fract_y
_atom_site_fract_z
_atom_site_occupancy
Pm1 0.0000 0.0000 0.0000 1
Pm2 0.0000 0.0000 0.2496 1
Pr1 0.0000 0.0000 0.5000 1
Tm1 0.0000 0.5000 0.1248 1
Tm2 0.0000 0.5000 0.3741 1
Tm3 0.5000 0.5000 0.0000 1
Tm4 0.5000 0.5000 0.2494 1
Tm5 0.5000 0.5000 0.5000 1
```

Peak list (6 most intense, 2θ = 10–80°, low angle first)
h k l  2θ (°)  I (rel.)
1 1 4  31.01  100
2 0 0  35.96  51
2 2 0  51.76  36
3 1 4  61.57  43
2 2 8  64.63  12
4 0 0  76.24  6


[2]
Structure and simulated X-ray diffraction stick pattern of Cu2PO4F (a structure optimized by DFT (GGA-PBE); Cu Ka).
Neutral-atom scattering factors, no anomalous dispersion.

Atomic structure:
```
data_Cu2PO4F
_chemical_formula_sum 'Cu16 P8 O32 F8'
_symmetry_space_group_name_H-M 'C 1 2/c 1'
_symmetry_Int_Tables_number 15
_symmetry_space_group_name_Hall '-C 2yc'
_cell_length_a 12.9194
_cell_length_b 6.2577
_cell_length_c 10.1546
_cell_angle_alpha 90.00
_cell_angle_beta 119.37
_cell_angle_gamma 90.00
loop_
_atom_site_label
_atom_site_fract_x
_atom_site_fract_y
_atom_site_fract_z
_atom_site_occupancy
Cu1 0.0612 0.2438 0.0017 1
Cu2 0.1530 0.3853 0.3487 1
P1 0.1720 0.1067 0.8016 1
O1 0.0766 0.0699 0.6358 1
O2 0.1366 0.3016 0.8679 1
O3 0.1851 0.0863 0.4036 1
O4 0.2059 0.3443 0.1903 1
F1 0.0242 0.3815 0.4021 1
```

Peak list (12 most intense, 2θ = 10–80°, low angle first)
h k l  2θ (°)  I (rel.)
3 1 -1  25.15  50
4 0 -2  28.01  52
0 2 1  30.30  79
2 0 2  31.24  100
3 1 -3  31.35  55
0 2 2  35.13  24
2 0 -4  35.58  21
4 2 -3  42.88  20
1 3 -1  44.44  19
6 0 -4  45.54  23
5 1 1  48.56  25
5 3 -3  57.91  19


[3]
Structure and simulated X-ray diffraction stick pattern of Tb5Pm4 (a structure optimized by DFT (GGA-PBE); Cu Ka).
Neutral-atom scattering factors, no anomalous dispersion.

Atomic structure:
```
data_Tb5Pm4
_chemical_formula_sum 'Tb10 Pm8'
_symmetry_space_group_name_H-M 'P 63/m c m'
_symmetry_Int_Tables_number 193
_symmetry_space_group_name_Hall '-P 6c 2'
_cell_length_a 9.8401
_cell_length_b 9.8401
_cell_length_c 7.0699
_cell_angle_alpha 90.00
_cell_angle_beta 90.00
_cell_angle_gamma 120.00
loop_
_atom_site_label
_atom_site_fract_x
_atom_site_fract_y
_atom_site_fract_z
_atom_site_occupancy
Tb1 0.0000 0.3219 0.2500 1
Tb2 0.3333 0.6667 0.0000 1
Pm1 0.0000 0.0000 0.0000 1
Pm2 0.0000 0.3473 0.7500 1
```

Peak list (12 most intense, 2θ = 10–80°, low angle first)
h k l  2θ (°)  I (rel.)
0 0 2  25.19  7
1 1 2  31.15  94
3 0 0  31.49  100
3 0 2  40.75  10
2 2 2  44.89  34
0 0 4  51.72  9
4 1 2  55.86  35
3 3 0  56.08  19
3 0 4  61.82  29
6 0 0  65.75  11
5 2 2  74.54  14
3 3 4  79.77  13


[4]
Structure and simulated X-ray diffraction stick pattern of Hf3P (a structure optimized by DFT (GGA-PBE); Cu Ka).
Neutral-atom scattering factors, no anomalous dispersion.

Atomic structure:
```
data_Hf3P
_chemical_formula_sum 'Hf24 P8'
_symmetry_space_group_name_H-M 'P 42/n'
_symmetry_Int_Tables_number 86
_cell_length_a 10.7060
_cell_length_b 10.7060
_cell_length_c 5.3087
_cell_angle_alpha 90.00
_cell_angle_beta 90.00
_cell_angle_gamma 90.00
loop_
_symmetry_equiv_pos_as_xyz
'x,y,z'
'-x,-y,-z'
'-y,x+1/2,z+1/2'
'y,-x+1/2,-z+1/2'
'-x+1/2,-y+1/2,z'
'x+1/2,y+1/2,-z'
'y+1/2,-x,z+1/2'
'-y+1/2,x,-z+1/2'
loop_
_atom_site_label
_atom_site_fract_x
_atom_site_fract_y
_atom_site_fract_z
_atom_site_occupancy
Hf1 0.0341 0.5688 0.2385 1
Hf2 0.1119 0.2228 0.0292 1
Hf3 0.1422 0.6655 0.7182 1
P1 0.0444 0.2097 0.5360 1
```

Peak list (12 most intense, 2θ = 10–80°, low angle first)
h k l  2θ (°)  I (rel.)
2 2 0  23.57  18
3 1 1  31.34  44
2 3 1  34.61  100
3 3 0  35.58  30
1 1 2  35.85  52
2 4 0  37.59  52
4 1 1  38.60  71
2 2 2  41.55  17
1 3 2  43.32  20
6 1 1  54.96  18
5 5 0  61.22  17
3 5 2  61.40  20


[5]
Structure and simulated X-ray diffraction stick pattern of NdFe2H7 (a structure optimized by DFT (GGA-PBE); Cu Ka).
Neutral-atom scattering factors, no anomalous dispersion.

Atomic structure:
```
data_NdFe2H7
_chemical_formula_sum 'Nd2 Fe4 H14'
_symmetry_space_group_name_H-M 'C m m m'
_symmetry_Int_Tables_number 65
_symmetry_space_group_name_Hall '-C 2 2'
_cell_length_a 5.0105
_cell_length_b 8.4486
_cell_length_c 3.5241
_cell_angle_alpha 90.00
_cell_angle_beta 90.00
_cell_angle_gamma 90.00
loop_
_atom_site_label
_atom_site_fract_x
_atom_site_fract_y
_atom_site_fract_z
_atom_site_occupancy
Nd1 0.0000 0.0000 0.0000 1
Fe1 0.0000 0.3080 0.5000 1
H1 0.0000 0.3109 0.0000 1
H2 0.0000 0.5000 0.5000 1
H3 0.1850 0.1458 0.5000 1
```

Peak list (12 most intense, 2θ = 10–80°, low angle first)
h k l  2θ (°)  I (rel.)
1 1 0  20.61  46
1 1 1  32.83  100
0 2 1  33.10  76
2 0 0  35.84  40
1 3 0  36.60  67
2 2 1  49.59  47
0 0 2  51.89  14
3 1 1  62.51  16
1 5 1  63.86  27
2 0 2  64.67  13
3 3 0  64.91  12
1 3 2  65.17  23


[6]
Structure and simulated X-ray diffraction stick pattern of TbSi2Rh6 (a structure optimized by DFT (GGA-PBE); Cu Ka).
Neutral-atom scattering factors, no anomalous dispersion.

Atomic structure:
abc: 10.9048 10.9048 10.9048
angles: 90.00 90.00 90.00
Space group Fd-3m (No. 227, origin choice 2)
Asymmetric unit:
Tb 0.1250 0.1250 0.1250
Si 0.0000 0.0000 0.5000
Rh 0.1230 0.3750 0.8750

Peak list (12 most intense, 2θ = 10–80°, low angle first)
h k l  2θ (°)  I (rel.)
1 1 1  14.07  10
3 1 1  27.12  25
4 0 0  32.85  100
3 3 1  35.90  5
3 3 3  43.10  8
4 4 0  47.15  96
5 3 3  55.24  3
4 4 4  58.65  25
7 3 1  65.78  6
8 0 0  68.88  15
7 5 1  75.50  3
8 4 0  78.44  31


[7]
Structure and simulated X-ray diffraction stick pattern of NdSmBr5 (a structure optimized by DFT (GGA-PBE); Cu Ka).
Neutral-atom scattering factors, no anomalous dispersion.

Atomic structure:
```
data_NdSmBr5
_chemical_formula_sum 'Nd2 Sm2 Br10'
_symmetry_space_group_name_H-M 'P 1 21/m 1'
_symmetry_Int_Tables_number 11
_symmetry_space_group_name_Hall '-P 2yb'
_cell_length_a 8.5490
_cell_length_b 4.1003
_cell_length_c 13.7739
_cell_angle_alpha 90.00
_cell_angle_beta 94.37
_cell_angle_gamma 90.00
loop_
_atom_site_label
_atom_site_fract_x
_atom_site_fract_y
_atom_site_fract_z
_atom_site_occupancy
Nd1 0.1013 0.2500 0.1519 1
Sm1 0.4183 0.7500 0.3440 1
Br1 0.0669 0.7500 0.3087 1
Br2 0.1343 0.2500 0.9287 1
Br3 0.3211 0.2500 0.4832 1
Br4 0.3494 0.7500 0.1265 1
Br5 0.3661 0.7500 0.7119 1
```

Peak list (12 most intense, 2θ = 10–80°, low angle first)
h k l  2θ (°)  I (rel.)
1 0 -1  11.79  100
1 1 2  27.79  21
2 0 3  29.71  17
2 1 0  30.25  34
1 1 -3  30.60  42
2 1 -2  32.34  21
3 0 1  32.64  26
0 1 4  34.06  17
1 1 -5  40.26  16
2 1 4  41.35  18
4 0 0  42.37  18
0 2 0  44.18  20


[8]
Structure and simulated X-ray diffraction stick pattern of LaSBr2F (a structure optimized by DFT (GGA-PBE); Cu Ka).
Neutral-atom scattering factors, no anomalous dispersion.

Atomic structure:
```
data_LaSBr2F
_chemical_formula_sum 'La2 S2 Br4 F2'
_symmetry_space_group_name_H-M 'C 1 m 1'
_symmetry_Int_Tables_number 8
_symmetry_space_group_name_Hall 'C -2y'
_cell_length_a 11.3401
_cell_length_b 4.0248
_cell_length_c 7.3138
_cell_angle_alpha 90.00
_cell_angle_beta 118.69
_cell_angle_gamma 90.00
loop_
_atom_site_label
_atom_site_fract_x
_atom_site_fract_y
_atom_site_fract_z
_atom_site_occupancy
La1 0.0000 0.0000 0.0000 1
S1 0.4257 0.0000 0.6642 1
Br1 0.1985 0.0000 0.5143 1
Br2 0.2116 0.5000 0.0062 1
F1 0.4728 0.0000 0.1337 1
```

Peak list (12 most intense, 2θ = 10–80°, low angle first)
h k l  2θ (°)  I (rel.)
0 0 1  13.80  100
2 0 -1  16.50  83
1 1 -1  25.36  95
0 0 2  27.81  91
1 1 1  29.79  67
4 0 -1  31.74  30
3 1 -1  32.51  93
4 0 -2  33.38  74
4 0 0  36.12  43
3 1 1  42.61  53
3 1 -3  43.98  58
0 2 0  45.05  35


[9]
Structure and simulated X-ray diffraction stick pattern of Li5AlO4 (a structure optimized by DFT (GGA-PBE); Cu Ka).
Neutral-atom scattering factors, no anomalous dispersion.

Atomic structure:
```
data_Li5AlO4
_chemical_formula_sum 'Li10 Al2 O8'
_symmetry_space_group_name_H-M 'P m m n'
_symmetry_Int_Tables_number 59
_cell_length_a 6.3599
_cell_length_b 6.4808
_cell_length_c 4.6731
_cell_angle_alpha 90.00
_cell_angle_beta 90.00
_cell_angle_gamma 90.00
loop_
_symmetry_equiv_pos_as_xyz
'x,y,z'
'-x,-y,-z'
'-x+1/2,-y+1/2,z'
'x+1/2,y+1/2,-z'
'x+1/2,-y,-z'
'-x+1/2,y,z'
'-x,y+1/2,-z'
'x,-y+1/2,z'
loop_
_atom_site_label
_atom_site_fract_x
_atom_site_fract_y
_atom_site_fract_z
_atom_site_occupancy
Li1 0.0111 0.0529 0.2453 1
Li2 0.2500 0.7500 0.2958 1
Al1 0.2500 0.2500 0.7245 1
O1 0.0141 0.2500 0.9293 1
O2 0.2500 0.0181 0.5167 1
```

Peak list (12 most intense, 2θ = 10–80°, low angle first)
h k l  2θ (°)  I (rel.)
1 1 0  19.56  80
0 1 1  23.47  94
1 0 1  23.63  36
0 2 1  33.66  69
2 0 1  34.10  100
2 1 1  36.90  20
0 3 1  46.30  32
2 1 2  50.47  15
2 2 2  56.53  75
0 4 0  56.83  18
4 0 0  58.01  24
2 1 3  68.64  17


[10]
Structure and simulated X-ray diffraction stick pattern of Al2CuPd8 (a structure optimized by DFT (GGA-PBE); Cu Ka).
Neutral-atom scattering factors, no anomalous dispersion.

Atomic structure:
```
data_Al2CuPd8
_chemical_formula_sum 'Al4 Cu2 Pd16'
_symmetry_space_group_name_H-M 'C 1 2/m 1'
_symmetry_Int_Tables_number 12
_symmetry_space_group_name_Hall '-C 2y'
_cell_length_a 13.5898
_cell_length_b 4.0907
_cell_length_c 6.2267
_cell_angle_alpha 90.00
_cell_angle_beta 108.96
_cell_angle_gamma 90.00
loop_
_atom_site_label
_atom_site_fract_x
_atom_site_fract_y
_atom_site_fract_z
_atom_site_occupancy
Al1 0.2178 0.0000 0.1576 1
Cu1 0.0000 0.5000 0.5000 1
Pd1 0.0415 0.0000 0.2335 1
Pd2 0.1042 0.5000 0.9634 1
Pd3 0.1531 0.0000 0.7150 1
Pd4 0.1761 0.5000 0.4284 1
```

Peak list (12 most intense, 2θ = 10–80°, low angle first)
h k l  2θ (°)  I (rel.)
1 1 -2  36.38  10
3 1 -2  37.97  9
5 1 -1  40.02  100
1 1 2  40.16  100
0 2 0  44.29  41
4 0 -3  45.67  33
6 0 1  49.80  23
4 2 -3  65.50  23
6 2 1  68.82  17
10 0 -2  69.67  8
2 0 4  70.05  7
1 3 2  78.65  27


[11]
Structure and simulated X-ray diffraction stick pattern of Ac5Pr4Tm4 (a structure optimized by DFT (GGA-PBE); Cu Ka).
Neutral-atom scattering factors, no anomalous dispersion.

Atomic structure:
```
data_Ac5Pr4Tm4
_chemical_formula_sum 'Ac10 Pr8 Tm8'
_symmetry_space_group_name_H-M 'I 4/m'
_symmetry_Int_Tables_number 87
_symmetry_space_group_name_Hall '-I 4'
_cell_length_a 13.5846
_cell_length_b 13.5846
_cell_length_c 5.2818
_cell_angle_alpha 90.00
_cell_angle_beta 90.00
_cell_angle_gamma 90.00
loop_
_atom_site_label
_atom_site_fract_x
_atom_site_fract_y
_atom_site_fract_z
_atom_site_occupancy
Ac1 0.0000 0.0000 0.0000 1
Ac2 0.0411 0.8032 0.5000 1
Pr1 0.0757 0.6150 0.0000 1
Tm1 0.1570 0.2352 0.0000 1
```

Peak list (12 most intense, 2θ = 10–80°, low angle first)
h k l  2θ (°)  I (rel.)
1 2 1  22.30  2
2 3 1  29.11  100
5 1 0  33.64  34
0 0 2  33.95  17
4 6 0  48.31  12
5 1 2  48.54  25
7 4 1  57.40  30
2 3 3  57.80  15
4 6 2  60.35  13
10 2 0  70.72  4
6 9 1  78.24  6
7 4 3  78.59  12